# La2ReB5Os2
Computed X-ray powder pattern, Cu Ka. Input: a crystal structure in OQMD, relaxed with GGA-PBE.
No peak broadening, texture or thermal motion is included.

Structure:
Cell lengths 5.7867, 5.7867, 8.1413 Å; angles 122.86, 122.86, 41.68 degrees
Atoms (fractional coordinates):
La (0.1660, 0.1660, 0.2607)
La (0.8340, 0.8340, 0.7393)
Re (0.7769, 0.2231, 0.5000)
B (0.1426, 0.1453, 0.8135)
B (0.2443, 0.7028, 0.3797)
B (0.2972, 0.7557, 0.6203)
B (0.5041, 0.4959, 0.0000)
B (0.8547, 0.8574, 0.1865)
Os (0.3798, 0.3557, 0.0952)
Os (0.6443, 0.6202, 0.9048)

Principal peaks in the range 2θ from 10° to 90°, sorted by position:
2θ = 16.48°, rel. 19.6
2θ = 30.24°, rel. 100.0
2θ = 33.17°, rel. 53.7
2θ = 33.30°, rel. 36.5
2θ = 34.35°, rel. 65.3
2θ = 34.68°, rel. 36.7
2θ = 40.62°, rel. 23.3
2θ = 42.61°, rel. 22.0
2θ = 46.17°, rel. 17.6
2θ = 54.81°, rel. 16.9


# TaAg3O4
Computed X-ray powder pattern, Cu Ka. Input: a crystal structure in OQMD, relaxed with GGA-PBE.
No peak broadening, texture or thermal motion is included.

Structure:
Cell lengths 5.6522, 5.6522, 10.4567 Å; angles 112.16, 112.16, 53.40 degrees
Atoms (fractional coordinates):
Ta (0.0398, 0.9602, 0.7500)
Ta (0.9602, 0.0398, 0.2500)
Ag (0.1864, 0.2859, 0.5920)
Ag (0.2859, 0.1864, 0.0920)
Ag (0.5000, 0.5000, 0.0000)
Ag (0.5000, 0.5000, 0.5000)
Ag (0.7141, 0.8136, 0.9080)
Ag (0.8136, 0.7141, 0.4080)
O (0.0818, 0.7248, 0.0940)
O (0.1196, 0.6160, 0.7878)
O (0.2752, 0.9182, 0.4060)
O (0.3840, 0.8804, 0.7122)
O (0.6160, 0.1196, 0.2878)
O (0.7248, 0.0818, 0.5940)
O (0.8804, 0.3840, 0.2122)
O (0.9182, 0.2752, 0.9060)

Principal peaks in the range 2θ from 10° to 90°, sorted by position:
2θ = 19.99°, rel. 10.3
2θ = 30.26°, rel. 98.0
2θ = 32.57°, rel. 100.0
2θ = 34.50°, rel. 27.4
2θ = 35.34°, rel. 24.1
2θ = 39.37°, rel. 22.5
2θ = 50.24°, rel. 33.8
2θ = 53.93°, rel. 20.5
2θ = 56.27°, rel. 12.0
2θ = 57.80°, rel. 10.3


# Y2TmZn3Pt3
Computed X-ray powder pattern, Cu Ka. Input: a crystal structure in OQMD, relaxed with GGA-PBE.
No peak broadening, texture or thermal motion is included.

Structure:
Cell lengths 3.8916, 7.2307, 7.2307 Å; angles 119.67, 90.00, 90.00 degrees
Atoms (fractional coordinates):
Y (0.0000, 0.2025, 0.7975)
Y (0.0000, 0.7975, 0.2025)
Tm (0.0000, 0.3953, 0.3953)
Zn (0.5000, 0.0471, 0.0471)
Zn (0.5000, 0.5459, 0.7969)
Zn (0.5000, 0.7969, 0.5459)
Pt (0.0000, 0.7935, 0.7935)
Pt (0.5000, 0.1363, 0.4625)
Pt (0.5000, 0.4625, 0.1363)

Principal peaks in the range 2θ from 10° to 90°, sorted by position:
2θ = 24.62°, rel. 37.0
2θ = 26.97°, rel. 47.9
2θ = 33.82°, rel. 100.0
2θ = 36.77°, rel. 92.7
2θ = 36.88°, rel. 61.1
2θ = 43.20°, rel. 49.4
2θ = 44.66°, rel. 30.9
2θ = 44.80°, rel. 48.1
2θ = 46.68°, rel. 39.4
2θ = 69.78°, rel. 29.9


# Pa3AuBr
Computed X-ray powder pattern, Cu Ka. Input: a crystal structure in OQMD, relaxed with GGA-PBE.
No peak broadening, texture or thermal motion is included.

Structure:
Cell lengths 6.7588, 6.7588, 6.2154 Å; angles 90.00, 90.00, 120.00 degrees
Atoms (fractional coordinates):
Pa (0.0113, 0.2438, 0.2500)
Pa (0.0113, 0.7674, 0.7500)
Pa (0.2326, 0.2438, 0.7500)
Pa (0.2326, 0.9887, 0.2500)
Pa (0.7562, 0.7674, 0.2500)
Pa (0.7562, 0.9887, 0.7500)
Au (0.3333, 0.6667, 0.0000)
Au (0.3333, 0.6667, 0.5000)
Br (0.6667, 0.3333, 0.0000)
Br (0.6667, 0.3333, 0.5000)

Principal peaks in the range 2θ from 10° to 90°, sorted by position:
2θ = 15.14°, rel. 38.3
2θ = 30.10°, rel. 100.0
2θ = 30.55°, rel. 37.3
2θ = 32.62°, rel. 79.0
2θ = 39.39°, rel. 63.4
2θ = 40.79°, rel. 45.5
2θ = 43.42°, rel. 99.4
2θ = 51.76°, rel. 22.9
2θ = 61.30°, rel. 36.7
2θ = 71.23°, rel. 32.7


# Li2Pd2O5
Computed X-ray powder pattern, Cu Ka. Input: a crystal structure in OQMD, relaxed with GGA-PBE.
No peak broadening, texture or thermal motion is included.

Structure:
Cell lengths 8.9205, 8.9205, 5.2782 Å; angles 91.41, 91.41, 146.15 degrees
Atoms (fractional coordinates):
Li (0.0512, 0.9488, 0.5000)
Li (0.2886, 0.3917, 0.5506)
Li (0.3917, 0.2886, 0.0506)
Li (0.9488, 0.0512, 0.0000)
Pd (0.3711, 0.6694, 0.0975)
Pd (0.6694, 0.3711, 0.5975)
Pd (0.6763, 0.9706, 0.5330)
Pd (0.9706, 0.6763, 0.0330)
O (0.0287, 0.9284, 0.1357)
O (0.0428, 0.7508, 0.6694)
O (0.1515, 0.6527, 0.1555)
O (0.3117, 0.4183, 0.1815)
O (0.3837, 0.6560, 0.7316)
O (0.4183, 0.3117, 0.6815)
O (0.6527, 0.1515, 0.6555)
O (0.6560, 0.3837, 0.2316)
O (0.7508, 0.0428, 0.1694)
O (0.9284, 0.0287, 0.6357)

Principal peaks in the range 2θ from 10° to 90°, sorted by position:
2θ = 10.37°, rel. 31.3
2θ = 17.91°, rel. 35.2
2θ = 20.82°, rel. 93.9
2θ = 23.24°, rel. 83.0
2θ = 23.66°, rel. 100.0
2θ = 25.69°, rel. 55.9
2θ = 34.10°, rel. 43.2
2θ = 35.11°, rel. 33.0
2θ = 38.93°, rel. 26.6
2θ = 41.55°, rel. 35.2


# InAg
Computed X-ray powder pattern, Cu Ka. Input: a crystal structure in OQMD, relaxed with GGA-PBE.
No peak broadening, texture or thermal motion is included.

Structure:
Cell lengths 5.7448, 5.7448, 5.7448 Å; angles 90.00, 90.00, 90.00 degrees
Atoms (fractional coordinates):
In (0.0000, 0.0000, 0.0000)
In (0.0000, 0.5000, 0.5000)
In (0.5000, 0.0000, 0.5000)
In (0.5000, 0.5000, 0.0000)
Ag (0.0000, 0.0000, 0.5000)
Ag (0.0000, 0.5000, 0.0000)
Ag (0.5000, 0.0000, 0.0000)
Ag (0.5000, 0.5000, 0.5000)

Principal peaks in the range 2θ from 10° to 90°, sorted by position:
2θ = 31.14°, rel. 100.0
2θ = 44.61°, rel. 72.4
2θ = 55.40°, rel. 24.7
2θ = 64.93°, rel. 11.2
2θ = 73.76°, rel. 30.8
2θ = 82.21°, rel. 23.1


# Rb3Na2ReO6
Computed X-ray powder pattern, Cu Ka. Input: a crystal structure in OQMD, relaxed with GGA-PBE.
No peak broadening, texture or thermal motion is included.

Structure:
Cell lengths 5.9351, 5.9351, 6.4066 Å; angles 98.64, 98.64, 119.90 degrees
Atoms (fractional coordinates):
Rb (0.0000, 0.0000, 0.0000)
Rb (0.3231, 0.6769, 0.0000)
Rb (0.6769, 0.3231, 0.0000)
Na (0.1660, 0.8340, 0.5000)
Na (0.8340, 0.1660, 0.5000)
Re (0.5000, 0.5000, 0.5000)
O (0.1737, 0.4401, 0.3240)
O (0.2970, 0.2970, 0.6837)
O (0.4401, 0.1737, 0.3240)
O (0.5599, 0.8263, 0.6760)
O (0.7030, 0.7030, 0.3163)
O (0.8263, 0.5599, 0.6760)

Principal peaks in the range 2θ from 10° to 90°, sorted by position:
2θ = 17.87°, rel. 56.3
2θ = 19.86°, rel. 50.8
2θ = 22.61°, rel. 37.2
2θ = 29.23°, rel. 51.1
2θ = 31.56°, rel. 38.8
2θ = 31.74°, rel. 75.1
2θ = 35.98°, rel. 100.0
2θ = 36.18°, rel. 54.3
2θ = 50.43°, rel. 31.8
2θ = 53.45°, rel. 45.5


# GdMgAgTe2S
Computed X-ray powder pattern, Cu Ka. Input: a crystal structure in OQMD, relaxed with GGA-PBE.
No peak broadening, texture or thermal motion is included.

Structure:
Cell lengths 7.2591, 7.2591, 10.7088 Å; angles 90.00, 90.00, 146.94 degrees
Atoms (fractional coordinates):
Gd (0.0000, 0.0000, 0.0000)
Gd (0.0000, 0.0000, 0.5000)
Mg (0.2741, 0.7259, 0.7500)
Mg (0.7259, 0.2741, 0.2500)
Ag (0.4864, 0.5136, 0.2500)
Ag (0.5136, 0.4864, 0.7500)
Te (0.3438, 0.6562, 0.0698)
Te (0.3438, 0.6562, 0.4302)
Te (0.6562, 0.3438, 0.5698)
Te (0.6562, 0.3438, 0.9302)
S (0.1012, 0.8988, 0.2500)
S (0.8988, 0.1012, 0.7500)

Principal peaks in the range 2θ from 10° to 90°, sorted by position:
2θ = 12.72°, rel. 31.1
2θ = 28.06°, rel. 43.8
2θ = 28.94°, rel. 31.3
2θ = 33.52°, rel. 100.0
2θ = 33.81°, rel. 19.1
2θ = 35.94°, rel. 15.2
2θ = 38.82°, rel. 16.6
2θ = 42.64°, rel. 30.8
2θ = 43.83°, rel. 19.8
2θ = 56.56°, rel. 15.0


# BaFePb
Computed X-ray powder pattern, Cu Ka. Input: a crystal structure in OQMD, relaxed with GGA-PBE.
No peak broadening, texture or thermal motion is included.

Structure:
Cell lengths 7.2408, 7.2408, 7.2408 Å; angles 90.00, 90.00, 90.00 degrees
Atoms (fractional coordinates):
Ba (0.0000, 0.0000, 0.0000)
Ba (0.0000, 0.5000, 0.5000)
Ba (0.5000, 0.0000, 0.5000)
Ba (0.5000, 0.5000, 0.0000)
Fe (0.2500, 0.2500, 0.2500)
Fe (0.2500, 0.7500, 0.7500)
Fe (0.7500, 0.2500, 0.7500)
Fe (0.7500, 0.7500, 0.2500)
Pb (0.0000, 0.0000, 0.5000)
Pb (0.0000, 0.5000, 0.0000)
Pb (0.5000, 0.0000, 0.0000)
Pb (0.5000, 0.5000, 0.5000)

Principal peaks in the range 2θ from 10° to 90°, sorted by position:
2θ = 21.25°, rel. 12.9
2θ = 24.59°, rel. 59.8
2θ = 35.05°, rel. 100.0
2θ = 43.29°, rel. 18.4
2θ = 50.41°, rel. 17.8
2θ = 56.87°, rel. 25.3
2θ = 62.88°, rel. 36.6
2θ = 74.07°, rel. 11.4
2θ = 79.41°, rel. 12.8
2θ = 84.65°, rel. 16.5


# Cd2B5Os3
Computed X-ray powder pattern, Cu Ka. Input: a crystal structure in OQMD, relaxed with GGA-PBE.
No peak broadening, texture or thermal motion is included.

Structure:
Cell lengths 5.2368, 5.2368, 8.2296 Å; angles 121.71, 121.71, 45.97 degrees
Atoms (fractional coordinates):
Cd (0.1337, 0.1337, 0.2885)
Cd (0.8663, 0.8663, 0.7115)
B (0.1780, 0.6681, 0.3809)
B (0.3319, 0.8220, 0.6191)
B (0.3746, 0.3189, 0.1902)
B (0.5141, 0.4859, 0.0000)
B (0.6811, 0.6254, 0.8098)
Os (0.2597, 0.2498, 0.8838)
Os (0.7496, 0.2504, 0.5000)
Os (0.7502, 0.7403, 0.1162)

Principal peaks in the range 2θ from 10° to 90°, sorted by position:
2θ = 18.41°, rel. 29.5
2θ = 24.54°, rel. 41.8
2θ = 31.07°, rel. 100.0
2θ = 32.08°, rel. 55.8
2θ = 36.07°, rel. 42.7
2θ = 36.26°, rel. 42.2
2θ = 39.96°, rel. 24.8
2θ = 41.25°, rel. 21.8
2θ = 44.72°, rel. 27.4
2θ = 50.22°, rel. 24.8


# TlHg3GeTe4
Computed X-ray powder pattern, Cu Ka. Input: a crystal structure in OQMD, relaxed with GGA-PBE.
No peak broadening, texture or thermal motion is included.

Structure:
Cell lengths 7.1080, 7.1080, 7.1080 Å; angles 90.00, 90.00, 90.00 degrees
Atoms (fractional coordinates):
Tl (0.0000, 0.0000, 0.0000)
Hg (0.0000, 0.5000, 0.5000)
Hg (0.5000, 0.0000, 0.5000)
Hg (0.5000, 0.5000, 0.0000)
Ge (0.5000, 0.5000, 0.5000)
Te (0.2698, 0.2698, 0.2698)
Te (0.2698, 0.7302, 0.7302)
Te (0.7302, 0.2698, 0.7302)
Te (0.7302, 0.7302, 0.2698)

Principal peaks in the range 2θ from 10° to 90°, sorted by position:
2θ = 21.66°, rel. 98.8
2θ = 25.06°, rel. 10.4
2θ = 35.73°, rel. 100.0
2θ = 42.17°, rel. 52.0
2θ = 51.42°, rel. 17.0
2θ = 56.43°, rel. 21.1
2θ = 64.19°, rel. 33.7
2θ = 68.61°, rel. 15.6
2θ = 79.83°, rel. 15.6
2θ = 86.62°, rel. 14.1


# CoHgGeS3
Computed X-ray powder pattern, Cu Ka. Input: a crystal structure in OQMD, relaxed with GGA-PBE.
No peak broadening, texture or thermal motion is included.

Structure:
Cell lengths 7.7766, 7.7766, 8.9596 Å; angles 90.00, 90.00, 154.28 degrees
Atoms (fractional coordinates):
Co (0.0000, 0.0000, 0.0000)
Co (0.0000, 0.0000, 0.5000)
Hg (0.2881, 0.7119, 0.7500)
Hg (0.7119, 0.2881, 0.2500)
Ge (0.3569, 0.6431, 0.2500)
Ge (0.6431, 0.3569, 0.7500)
S (0.0330, 0.9670, 0.7500)
S (0.4030, 0.5970, 0.5209)
S (0.4030, 0.5970, 0.9791)
S (0.5970, 0.4030, 0.0209)
S (0.5970, 0.4030, 0.4791)
S (0.9670, 0.0330, 0.2500)

Principal peaks in the range 2θ from 10° to 90°, sorted by position:
2θ = 19.82°, rel. 36.2
2θ = 23.06°, rel. 100.0
2θ = 25.51°, rel. 28.3
2θ = 28.26°, rel. 42.4
2θ = 31.32°, rel. 71.3
2θ = 32.92°, rel. 32.1
2θ = 36.96°, rel. 24.1
2θ = 40.28°, rel. 47.5
2θ = 44.58°, rel. 44.1
2θ = 51.88°, rel. 32.9


> Which formula does entry 4 have?

Pa3AuBr